(1)
The following is a simulated powder XRD pattern of CaI. It was derived from a DFT-relaxed cell (PBE, the Materials Project), using Cu Ka.
Intensities are scaled so that the largest is 100.

Main lines, in order of falling intensity (15 to 90 degrees two-theta):
Position (°2θ), I/Imax
31.67, 100
24.79, 50
43.65, 25
54.93, 20
60.23, 18
47.09, 17
72.66, 17
19.40, 17
39.38, 11
66.61, 11

Crystal structure
```
CaI
1.0
4.1468 0.0000 0.0000
-2.0734 3.5913 0.0000
0.0000 0.0000 4.5762
Ca I
1 1
Direct
0.0000 0.0000 0.0000
0.6667 0.3333 0.5000
```

(2)
The following is a simulated powder XRD pattern of LiNb2P3O12. It was derived from a DFT-relaxed cell (PBE, the Materials Project), using Cu Ka.
Intensities are scaled so that the largest is 100.

Main lines, in order of falling intensity (15 to 90 degrees two-theta):
Position (°2θ), I/Imax
19.86, 100
23.34, 36
31.64, 34
28.31, 27
34.90, 22
19.98, 18
23.42, 17
54.32, 17
34.78, 16
28.17, 14

Crystal structure
```
LiNb2P3O12
1.0
7.7459 -4.4449 0.0000
7.7459 4.4449 0.0000
-5.1467 0.0000 7.3169
Li Nb P O
2 4 6 24
Direct
0.2330 0.7670 0.5000
0.7670 0.2330 0.0000
0.1583 0.6555 0.0668
0.4418 0.9423 0.9241
0.6555 0.1583 0.5668
0.9423 0.4418 0.4241
0.0490 0.2577 0.7443
0.2577 0.0490 0.2443
0.3395 0.5483 0.7438
0.5483 0.3395 0.2438
0.7586 0.8407 0.7482
0.8407 0.7586 0.2482
0.0053 0.2963 0.5733
0.0270 0.7370 0.2531
0.0730 0.2104 0.2440
0.0946 0.4196 0.9165
0.1776 0.5039 0.5708
0.2104 0.0730 0.7440
0.2373 0.8835 0.2361
0.2963 0.0053 0.0733
0.3055 0.5958 0.9173
0.3553 0.7112 0.7389
0.3838 0.5210 0.2426
0.4196 0.0946 0.4165
0.5039 0.1776 0.0708
0.5210 0.3838 0.7426
0.5811 0.8606 0.7566
0.5958 0.3055 0.4173
0.6814 0.7928 0.0749
0.7112 0.3553 0.2389
0.7370 0.0270 0.7531
0.7928 0.6814 0.5749
0.8051 0.9225 0.4212
0.8606 0.5811 0.2566
0.8835 0.2373 0.7361
0.9225 0.8051 0.9212
```

(3)
The following is a simulated powder XRD pattern of Ce4UC10. It was derived from a DFT-relaxed cell (PBE, the Materials Project), using Cu Ka.
Intensities are scaled so that the largest is 100.

Main lines, in order of falling intensity (15 to 90 degrees two-theta):
Position (°2θ), I/Imax
27.87, 100
34.08, 98
28.00, 97
45.11, 72
28.66, 64
50.32, 55
57.21, 29
57.43, 27
79.00, 19
72.75, 18

Crystal structure
```
Ce4UC10
1.0
-1.8658 3.1151 9.2717
1.8658 -3.1151 9.2717
1.8658 3.1151 -9.2717
Ce U C
4 1 10
Direct
0.0964 0.0964 0.0000
0.3050 0.3050 0.0000
0.6950 0.6950 0.0000
0.9036 0.9036 0.0000
0.5000 0.5000 0.0000
0.0964 0.7006 0.3957
0.1089 0.5000 0.6089
0.2982 0.9058 0.3924
0.3049 0.7006 0.6043
0.4865 0.0942 0.3924
0.5135 0.9058 0.6076
0.6951 0.2994 0.3957
0.7018 0.0942 0.6076
0.8911 0.5000 0.3911
0.9036 0.2994 0.6043
```

(4)
The following is a simulated powder XRD pattern of EuCuO2. It was derived from a DFT-relaxed cell (PBE, the Materials Project), using Cu Ka.
Intensities are scaled so that the largest is 100.

Main lines, in order of falling intensity (15 to 90 degrees two-theta):
Position (°2θ), I/Imax
29.71, 100
34.92, 46
49.14, 29
15.51, 27
51.27, 23
31.32, 21
59.44, 21
61.32, 14
58.49, 14
38.42, 13

Crystal structure
```
EuCuO2
1.0
1.8539 1.0704 5.7122
-1.8539 1.0704 5.7122
0.0000 -2.1407 5.7122
Eu Cu O
1 1 2
Direct
0.0000 0.0000 0.0000
0.5000 0.5000 0.5000
0.3953 0.3953 0.3953
0.6047 0.6047 0.6047
```

(5)
The following is a simulated powder XRD pattern of MgSn3. It was derived from a DFT-relaxed cell (PBE, the Materials Project), using Cu Ka.
Intensities are scaled so that the largest is 100.

Main lines, in order of falling intensity (15 to 90 degrees two-theta):
Position (°2θ), I/Imax
33.84, 100
60.55, 39
48.61, 18
81.21, 18
20.53, 13
71.20, 12
39.91, 8
23.75, 7
53.30, 3
54.80, 3

Crystal structure
```
MgSn3
1.0
0.0000 3.7457 3.7457
3.7457 0.0000 3.7457
3.7457 3.7457 0.0000
Mg Sn
1 3
Direct
0.0000 0.0000 0.0000
0.2500 0.2500 0.2500
0.5000 0.5000 0.5000
0.7500 0.7500 0.7500
```

(6)
The following is a simulated powder XRD pattern of Ba2LiFe2N3. It was derived from a DFT-relaxed cell (PBE, the Materials Project), using Cu Ka.
Intensities are scaled so that the largest is 100.

Main lines, in order of falling intensity (15 to 90 degrees two-theta):
Position (°2θ), I/Imax
29.53, 100
30.66, 96
29.18, 87
33.25, 81
29.99, 79
25.99, 73
50.90, 38
30.17, 30
42.39, 29
47.93, 27

Crystal structure
```
Ba2LiFe2N3
1.0
3.4303 -5.8787 0.0000
3.4303 5.8787 0.0000
-0.1987 0.0000 6.7949
Ba Li Fe N
4 2 4 6
Direct
0.1739 0.3193 0.3994
0.3193 0.1739 0.8994
0.6807 0.8261 0.1006
0.8261 0.6807 0.6006
0.1930 0.8070 0.2500
0.8070 0.1930 0.7500
0.1608 0.5679 0.8987
0.4321 0.8392 0.6013
0.5679 0.1608 0.3987
0.8392 0.4321 0.1013
0.0071 0.7120 0.9955
0.2880 0.9929 0.5045
0.3967 0.6033 0.7500
0.6033 0.3967 0.2500
0.7120 0.0071 0.4955
0.9929 0.2880 0.0045
```

(7)
The following is a simulated powder XRD pattern of BaH2O2. It was derived from a DFT-relaxed cell (PBE, the Materials Project), using Cu Ka.
Intensities are scaled so that the largest is 100.

Main lines, in order of falling intensity (15 to 90 degrees two-theta):
Position (°2θ), I/Imax
26.26, 100
26.05, 63
24.79, 38
21.89, 34
35.55, 27
27.38, 26
35.31, 23
44.05, 22
30.31, 21
33.24, 21

Crystal structure
```
BaH2O2
1.0
6.8157 0.0000 0.0000
0.0000 7.9173 0.0000
-6.0858 0.0000 9.4611
Ba H O
8 16 16
Direct
0.0361 0.0467 0.3164
0.0361 0.4533 0.8164
0.3544 0.6461 0.6058
0.3544 0.8539 0.1058
0.6456 0.1461 0.8942
0.6456 0.3539 0.3942
0.9639 0.5467 0.1836
0.9639 0.9533 0.6836
0.1865 0.2247 0.6188
0.1865 0.2753 0.1188
0.2008 0.1515 0.9782
0.2008 0.3485 0.4782
0.4309 0.0486 0.6182
0.4309 0.4514 0.1182
0.4639 0.7378 0.4137
0.4639 0.7622 0.9137
0.5361 0.2378 0.0863
0.5361 0.2622 0.5863
0.5691 0.5486 0.8818
0.5691 0.9514 0.3818
0.7992 0.6515 0.5218
0.7992 0.8485 0.0218
0.8135 0.7247 0.8812
0.8135 0.7753 0.3812
0.1162 0.1619 0.1047
0.1162 0.3381 0.6047
0.2658 0.1411 0.9176
0.2658 0.3589 0.4176
0.2993 0.5007 0.1195
0.2993 0.9993 0.6195
0.3158 0.7068 0.8431
0.3158 0.7932 0.3431
0.6842 0.2068 0.6569
0.6842 0.2932 0.1569
0.7007 0.0007 0.3805
0.7007 0.4993 0.8805
0.7342 0.6411 0.5824
0.7342 0.8589 0.0824
0.8838 0.6619 0.3953
0.8838 0.8381 0.8953
```

(8)
The following is a simulated powder XRD pattern of LiTl2Pd. It was derived from a DFT-relaxed cell (PBE, the Materials Project), using Cu Ka.
Intensities are scaled so that the largest is 100.

Main lines, in order of falling intensity (15 to 90 degrees two-theta):
Position (°2θ), I/Imax
37.09, 100
26.00, 38
66.86, 36
53.47, 18
60.39, 16
45.85, 12
79.01, 11
22.46, 10
84.87, 8
43.80, 5

Crystal structure
```
LiTl2Pd
1.0
0.0000 3.4276 3.4276
3.4276 0.0000 3.4276
3.4276 3.4276 0.0000
Li Tl Pd
1 2 1
Direct
0.0000 0.0000 0.0000
0.2500 0.2500 0.2500
0.7500 0.7500 0.7500
0.5000 0.5000 0.5000
```

(9)
The following is a simulated powder XRD pattern of Tb7NiI12. It was derived from a DFT-relaxed cell (PBE, the Materials Project), using Cu Ka.
Intensities are scaled so that the largest is 100.

Main lines, in order of falling intensity (15 to 90 degrees two-theta):
Position (°2θ), I/Imax
29.08, 100
41.59, 70
68.30, 24
51.55, 22
25.12, 14
75.93, 12
60.28, 11
27.59, 11
49.20, 8
34.13, 8

Crystal structure
```
Tb7NiI12
1.0
7.8236 4.5170 3.5503
-7.8236 4.5170 3.5503
0.0000 -9.0340 3.5503
Tb Ni I
7 1 12
Direct
0.0000 0.0000 0.0000
0.2010 0.4003 0.4688
0.4003 0.4688 0.2010
0.4688 0.2010 0.4003
0.5312 0.7990 0.5997
0.5997 0.5312 0.7990
0.7990 0.5997 0.5312
0.5000 0.5000 0.5000
0.0280 0.3446 0.1082
0.1082 0.0280 0.3446
0.1803 0.7284 0.5754
0.2716 0.4246 0.8197
0.3446 0.1082 0.0280
0.4246 0.8197 0.2716
0.5754 0.1803 0.7284
0.6554 0.8918 0.9720
0.7284 0.5754 0.1803
0.8197 0.2716 0.4246
0.8918 0.9720 0.6554
0.9720 0.6554 0.8918
```